1.
ScU3S6: calculated powder X-ray diffraction pattern (Cu Kα X-rays), based on the GGA-PBE geometry in OQMD.

Main lines, in order of rising 2θ (2θ = 10–90°):
2θ/deg	intensity
22.8	81
25.6	76
27.8	54
35.4	100
36.5	60
41.9	70

a b c (Å): 13.335 16.306 3.756
angles (deg): 90.00 90.00 90.00
Element x y z (fractional)
Sc  0.000  0.000  0.000
Sc  0.000  0.500  0.000
Sc  0.500  0.000  0.500
Sc  0.500  0.500  0.500
U  0.051  0.216  0.500
U  0.179  0.651  0.500
U  0.248  0.401  0.500
U  0.252  0.901  0.000
U  0.321  0.151  0.000
U  0.449  0.716  0.000
U  0.551  0.284  0.000
U  0.679  0.849  0.000
U  0.748  0.099  0.000
U  0.752  0.599  0.500
U  0.821  0.349  0.500
U  0.949  0.784  0.500
S  0.025  0.393  0.500
S  0.093  0.921  0.500
S  0.100  0.754  0.000
S  0.127  0.108  0.000
S  0.186  0.287  0.000
S  0.190  0.524  0.000
S  0.310  0.024  0.500
S  0.314  0.787  0.500
S  0.373  0.608  0.500
S  0.400  0.254  0.500
S  0.407  0.421  0.000
S  0.475  0.893  0.000
S  0.525  0.107  0.000
S  0.593  0.579  0.000
S  0.600  0.746  0.500
S  0.627  0.392  0.500
S  0.686  0.213  0.500
S  0.690  0.976  0.500
S  0.810  0.476  0.000
S  0.814  0.713  0.000
S  0.873  0.892  0.000
S  0.900  0.246  0.000
S  0.907  0.079  0.500
S  0.975  0.607  0.500


2.
Cs4TcO4: calculated powder X-ray diffraction pattern (Cu Kα X-rays), based on the GGA-PBE geometry in OQMD.

Main lines, in order of rising 2θ (2θ = 10–90°):
2θ/deg	intensity
26.2	49
26.6	52
29.6	100
30.0	87
37.7	52
49.1	22

a b c (Å): 6.176 6.176 6.640
angles (deg): 105.28 105.28 65.80
Element x y z (fractional)
Cs  0.115  0.115  0.338
Cs  0.311  0.311  0.909
Cs  0.689  0.689  0.091
Cs  0.885  0.885  0.662
Tc  0.500  0.500  0.500
O  0.194  0.596  0.318
O  0.404  0.806  0.682
O  0.596  0.194  0.318
O  0.806  0.404  0.682


3.
ScNiPt: calculated powder X-ray diffraction pattern (Cu Kα X-rays), based on the GGA-PBE geometry in OQMD.

Main lines, in order of rising 2θ (2θ = 10–90°):
2θ/deg	intensity
25.4	100
42.1	97
49.8	50
61.0	16
67.2	20
76.9	32

a b c (Å): 6.075 6.075 6.075
angles (deg): 90.00 90.00 90.00
Element x y z (fractional)
Sc  0.000  0.000  0.000
Sc  0.000  0.500  0.500
Sc  0.500  0.000  0.500
Sc  0.500  0.500  0.000
Ni  0.000  0.000  0.500
Ni  0.000  0.500  0.000
Ni  0.500  0.000  0.000
Ni  0.500  0.500  0.500
Pt  0.250  0.250  0.750
Pt  0.250  0.750  0.250
Pt  0.750  0.250  0.250
Pt  0.750  0.750  0.750


4.
Sm3Si5: calculated powder X-ray diffraction pattern (Cu Kα X-rays), based on the GGA-PBE geometry in OQMD.

Main lines, in order of rising 2θ (2θ = 10–90°):
2θ/deg	intensity
20.8	19
26.4	50
33.9	100
46.6	24
58.9	18
64.8	18

a b c (Å): 6.749 6.749 4.262
angles (deg): 90.00 90.00 120.00
Element x y z (fractional)
Sm  0.000  0.652  0.000
Sm  0.348  0.348  0.000
Sm  0.652  0.000  0.000
Si  0.000  0.289  0.500
Si  0.289  0.000  0.500
Si  0.333  0.667  0.500
Si  0.667  0.333  0.500
Si  0.711  0.711  0.500


5.
NaHoMgTe3: calculated powder X-ray diffraction pattern (Cu Kα X-rays), based on the GGA-PBE geometry in OQMD.

Main lines, in order of rising 2θ (2θ = 10–90°):
2θ/deg	intensity
11.9	54
25.8	60
27.2	56
28.2	40
31.2	100
39.8	45

a b c (Å): 7.736 7.736 11.706
angles (deg): 90.00 90.00 147.05
Element x y z (fractional)
Na  0.237  0.763  0.750
Na  0.763  0.237  0.250
Ho  0.000  0.000  0.000
Ho  0.000  0.000  0.500
Mg  0.473  0.527  0.250
Mg  0.527  0.473  0.750
Te  0.089  0.911  0.250
Te  0.362  0.638  0.061
Te  0.362  0.638  0.439
Te  0.638  0.362  0.561
Te  0.638  0.362  0.939
Te  0.911  0.089  0.750


6.
Tl2Ag4S3: calculated powder X-ray diffraction pattern (Cu Kα X-rays), based on the GGA-PBE geometry in OQMD.

Main lines, in order of rising 2θ (2θ = 10–90°):
2θ/deg	intensity
20.8	47
28.9	54
31.1	100
33.5	41
36.6	58
42.4	44

a b c (Å): 7.766 12.694 4.530
angles (deg): 90.00 90.00 90.00
Element x y z (fractional)
Tl  0.031  0.250  0.243
Tl  0.469  0.250  0.243
Tl  0.531  0.750  0.757
Tl  0.969  0.750  0.757
Ag  0.000  0.000  0.500
Ag  0.000  0.500  0.500
Ag  0.250  0.582  0.036
Ag  0.250  0.918  0.036
Ag  0.500  0.000  0.500
Ag  0.500  0.500  0.500
Ag  0.750  0.082  0.964
Ag  0.750  0.418  0.964
S  0.250  0.074  0.737
S  0.250  0.426  0.737
S  0.250  0.750  0.287
S  0.750  0.250  0.713
S  0.750  0.574  0.263
S  0.750  0.926  0.263


7.
Cu3TeS3F: calculated powder X-ray diffraction pattern (Cu Kα X-rays), based on the GGA-PBE geometry in OQMD.

Main lines, in order of rising 2θ (2θ = 10–90°):
2θ/deg	intensity
26.9	35
29.9	100
33.8	27
46.6	37
50.4	33
58.0	22

a b c (Å): 5.336 5.336 5.336
angles (deg): 85.46 85.46 85.46
Element x y z (fractional)
Cu  0.017  0.491  0.491
Cu  0.491  0.017  0.491
Cu  0.491  0.491  0.017
Te  0.992  0.992  0.992
S  0.276  0.276  0.762
S  0.276  0.762  0.276
S  0.762  0.276  0.276
F  0.689  0.689  0.689


8.
GePt7: calculated powder X-ray diffraction pattern (Cu Kα X-rays), based on the GGA-PBE geometry in OQMD.

Main lines, in order of rising 2θ (2θ = 10–90°):
2θ/deg	intensity
38.9	100
40.1	49
45.3	51
65.9	17
67.4	18
79.3	26

a b c (Å): 2.834 2.834 44.310
angles (deg): 90.00 90.00 90.00
Element x y z (fractional)
Ge  0.250  0.250  0.170
Ge  0.750  0.750  0.830
Pt  0.250  0.250  0.257
Pt  0.250  0.250  0.346
Pt  0.250  0.250  0.434
Pt  0.250  0.250  0.522
Pt  0.250  0.250  0.610
Pt  0.250  0.250  0.698
Pt  0.250  0.250  0.790
Pt  0.750  0.750  0.210
Pt  0.750  0.750  0.302
Pt  0.750  0.750  0.390
Pt  0.750  0.750  0.478
Pt  0.750  0.750  0.566
Pt  0.750  0.750  0.654
Pt  0.750  0.750  0.743


9.
CsGd2CuSe3S: calculated powder X-ray diffraction pattern (Cu Kα X-rays), based on the GGA-PBE geometry in OQMD.

Main lines, in order of rising 2θ (2θ = 10–90°):
2θ/deg	intensity
22.0	56
29.0	100
31.0	81
38.3	37
42.3	84
43.8	37

a b c (Å): 7.570 7.570 14.551
angles (deg): 90.00 90.00 148.35
Element x y z (fractional)
Cs  0.112  0.888  0.750
Cs  0.888  0.112  0.250
Gd  0.372  0.628  0.561
Gd  0.372  0.628  0.939
Gd  0.628  0.372  0.061
Gd  0.628  0.372  0.439
Cu  0.166  0.834  0.250
Cu  0.834  0.166  0.750
Se  0.256  0.744  0.106
Se  0.256  0.744  0.394
Se  0.425  0.575  0.750
Se  0.575  0.425  0.250
Se  0.744  0.256  0.606
Se  0.744  0.256  0.894
S  0.000  0.000  0.000
S  0.000  0.000  0.500


10.
Al2In3Cu: calculated powder X-ray diffraction pattern (Cu Kα X-rays), based on the GGA-PBE geometry in OQMD.

Main lines, in order of rising 2θ (2θ = 10–90°):
2θ/deg	intensity
18.0	58
25.1	79
35.2	100
35.5	73
39.8	87
51.5	65

a b c (Å): 5.887 5.887 4.936
angles (deg): 90.00 90.00 120.00
Element x y z (fractional)
Al  0.333  0.667  0.000
Al  0.667  0.333  0.000
In  0.000  0.500  0.500
In  0.500  0.000  0.500
In  0.500  0.500  0.500
Cu  0.000  0.000  0.000